This entry pairs a crystal structure of Er6CoBi2 with its simulated XRD peak list. Radiation: copper Kα. Structure: a crystal structure in the Materials Project, relaxed with GGA-PBE.
Lines closer than 0.1° are merged.

```
Er6CoBi2
1.0
8.3282 0.0000 0.0000
-4.1641 7.2124 0.0000
0.0000 0.0000 4.0733
Er Co Bi
6 1 2
Cartesian
-0.9566 1.6568 0.0000 Er
-2.5377 4.3955 2.0367 Er
1.9131 0.0000 0.0000 Er
1.6263 2.8169 2.0367 Er
5.0755 0.0000 2.0367 Er
3.2075 5.5556 0.0000 Er
0.0000 0.0000 2.0367 Co
0.0000 4.8083 0.0000 Bi
4.1641 2.4041 0.0000 Bi
```

Largest 6 diffraction maxima, by angle, 10 to 90 degrees two-theta:
2θ/deg  Rel. int.
30.7  100
32.9  58
33.2  54
37.4  33
39.8  36
56.4  26



This entry pairs a crystal structure of Li3CuSiCO7 with its simulated XRD peak list. Radiation: copper Kα. Structure: a crystal structure in the Materials Project, relaxed with GGA-PBE.
Lines closer than 0.1° are merged.

```
Li3CuSiCO7
1.0
4.9513 0.0000 0.0000
0.0000 6.3688 0.0000
-0.5114 0.0000 8.3956
Li Cu Si C O
6 2 2 2 14
Cartesian
1.0224 0.1289 1.8521 Li
1.0224 3.0555 1.8521 Li
0.8832 4.7766 5.0911 Li
3.5568 1.5922 3.3044 Li
3.4176 3.3133 6.5434 Li
3.4176 6.2399 6.5434 Li
0.5705 1.5922 6.9929 Cu
3.8695 4.7766 1.4027 Cu
0.9799 4.7766 7.7310 Si
3.4600 1.5922 0.6646 Si
1.1082 1.5922 4.4986 C
3.3317 4.7766 3.8970 C
-0.1321 1.5922 4.8610 O
0.8247 4.7766 0.8235 O
0.5199 3.5396 6.7425 O
0.5199 6.0136 6.7425 O
1.4601 1.5922 3.2562 O
1.8149 1.5922 0.4587 O
2.0143 1.5922 5.4252 O
2.4257 4.7766 2.9703 O
2.6251 4.7766 7.9368 O
2.9798 4.7766 5.1394 O
3.9201 0.3552 1.6531 O
3.9201 2.8292 1.6531 O
3.6152 1.5922 7.5720 O
4.5721 4.7766 3.5346 O
```

Largest 6 diffraction maxima, by angle, 10 to 90 degrees two-theta:
2θ/deg  Rel. int.
10.5  85
17.5  50
20.3  41
21.4  52
27.0  37
28.0  100



This entry pairs a crystal structure of PrAl4 with its simulated XRD peak list. Radiation: copper Kα. Structure: a crystal structure in the Materials Project, relaxed with GGA-PBE.
Lines closer than 0.1° are merged.

```
PrAl4
1.0
-2.1477 2.1477 5.6777
2.1477 -2.1477 5.6777
2.1477 2.1477 -5.6777
Pr Al
1 4
Cartesian
0.0000 0.0000 0.0000 Pr
2.1477 0.0000 2.8389 Al
0.0000 0.0000 4.4060 Al
0.0000 0.0000 6.9494 Al
0.0000 2.1477 2.8389 Al
```

Largest 6 diffraction maxima, by angle, 10 to 90 degrees two-theta:
2θ/deg  Rel. int.
22.1  66
31.5  95
33.5  100
42.1  39
45.2  48
53.5  49